(1)
Structure and computed powder X-ray diffraction pattern of LiMn2F5 (a structure optimized by DFT (GGA+U); Cu Kα X-rays).

Cell and atoms:
Cell: 9.1299 6.9513 6.5047 Å, 90.00 96.30 90.00°
Space group P2_1/c (No. 14)
Asymmetric unit:
Li1 0.1972 0.1114 0.0165 x4
Mn1 0.1447 0.6397 0.0247 x4
Mn2 0.4737 0.6310 0.7527 x4
F1 0.0907 0.1613 0.5107 x4
F2 0.1362 0.5999 0.3476 x4
F3 0.2491 0.5676 0.7400 x4
F4 0.3921 0.5953 0.1195 x4
F5 0.4138 0.1654 0.0241 x4

The 10 most intense peaks (10° ≤ 2θ ≤ 80°), sorted by position:
d (Å)  intensity  h k l
5.518  95  1 1 0
4.734  40  0 1 1
3.156  72  1 0 -2
3.025  72  3 0 0
2.856  100  1 2 1
2.055  37  1 1 -3
1.961  29  4 0 -2
1.830  58  0 2 3
1.779  48  4 2 1
1.738  27  0 4 0


(2)
Structure and computed powder X-ray diffraction pattern of LiMnF3 (a structure optimized by DFT (GGA+U); Cu Kα X-rays).

Cell and atoms:
Cell: 5.4532 7.7246 5.1236 Å, 90.00 90.00 90.00°
Space group Pnma (No. 62)
Asymmetric unit:
Li1 0.0000 0.0000 0.0000 x4
Mn1 0.0782 0.2500 0.4694 x4
F1 0.0661 0.7500 0.1427 x4
F2 0.1868 0.5743 0.6869 x8

The 10 most intense peaks (10° ≤ 2θ ≤ 80°), sorted by position:
d (Å)  intensity  h k l
3.862  84  0 2 0
3.734  100  1 0 1
3.362  64  1 1 1
2.685  86  1 2 1
2.227  49  2 2 0
2.221  53  1 1 2
2.135  49  0 2 2
2.120  54  1 3 1
1.815  49  2 1 2
1.672  56  3 1 1